No. 1
For K, a PBE-relaxed structure gives the computed PXRD pattern in this record (Cu Kα X-rays).
No peak broadening, texture or thermal motion is included.

Structural model:
Cell lengths 4.4898, 16.2848, 16.3511 Å; angles 90.00, 90.00, 90.00 degrees
Space group Fddd (No. 70, origin choice 2)
Inequivalent atoms, fractional coordinates:
K1 0.1250 0.2554 0.1250 [16 per cell]

Largest 10 diffraction maxima, sorted by position, 5 to 70 degrees two-theta:
2θ/deg  Rel. int.
21.23  50
21.79  100
26.31  66
30.61  24
31.00  38
34.41  23
37.88  20
41.72  16
47.57  20
57.84  11

=====

No. 2
For K, a PBE-relaxed structure gives the computed PXRD pattern in this record (Cu Kα X-rays).
No peak broadening, texture or thermal motion is included.

Structural model:
Cell lengths 4.6763, 4.6763, 7.6069 Å; angles 90.00, 90.00, 120.00 degrees
Space group P6_3/mmc (No. 194)
Inequivalent atoms, fractional coordinates:
K1 0.3333 0.6667 0.2500 [2 per cell]

Largest 10 diffraction maxima, sorted by position, 5 to 70 degrees two-theta:
2θ/deg  Rel. int.
21.95  23
23.39  26
24.91  100
32.29  16
38.50  19
42.04  21
45.54  22
46.40  16
61.83  12
63.00  7

=====

No. 3
For K, a PBE-relaxed structure gives the computed PXRD pattern in this record (Cu Kα X-rays).
No peak broadening, texture or thermal motion is included.

Structural model:
Cell lengths 11.5604, 4.5045, 11.4278 Å; angles 90.00, 90.00, 90.00 degrees
Space group Pnma (No. 62)
Inequivalent atoms, fractional coordinates:
K1 0.0060 0.2500 0.1823 [4 per cell]
K2 0.1822 0.2500 0.5212 [4 per cell]

Largest 10 diffraction maxima, sorted by position, 5 to 70 degrees two-theta:
2θ/deg  Rel. int.
21.20  31
21.87  78
22.57  68
24.38  65
24.61  62
25.06  22
26.30  100
31.72  26
40.29  21
44.30  26

=====

No. 4
For K, a PBE-relaxed structure gives the computed PXRD pattern in this record (Cu Kα X-rays).
No peak broadening, texture or thermal motion is included.

Structural model:
Cell lengths 15.2633, 15.2633, 4.5213 Å; angles 90.00, 90.00, 120.00 degrees
Space group P6_3/m (No. 176)
Inequivalent atoms, fractional coordinates:
K1 0.0980 0.3038 0.2500 [6 per cell]
K2 0.1441 0.6043 0.7500 [6 per cell]

Largest 10 diffraction maxima, sorted by position, 5 to 70 degrees two-theta:
2θ/deg  Rel. int.
20.76  10
22.86  22
23.84  43
24.28  100
26.59  48
36.97  18
42.72  16
43.03  15
47.24  27
59.85  11

=====

No. 5
For K, a PBE-relaxed structure gives the computed PXRD pattern in this record (Cu Kα X-rays).
No peak broadening, texture or thermal motion is included.

Structural model:
Cell lengths 8.1676, 4.6797, 11.6214 Å; angles 90.00, 103.51, 90.00 degrees
Space group C2/m (No. 12)
Inequivalent atoms, fractional coordinates:
K1 0.0000 0.0000 0.0000 [2 per cell]
K2 0.2221 0.0000 0.6667 [4 per cell]

Largest 10 diffraction maxima, sorted by position, 5 to 70 degrees two-theta:
2θ/deg  Rel. int.
22.05  36
23.62  76
24.20  51
24.30  100
25.45  44
25.58  87
38.25  38
41.12  32
45.45  44
45.66  29

=====

No. 6
For K, a PBE-relaxed structure gives the computed PXRD pattern in this record (Cu Kα X-rays).
No peak broadening, texture or thermal motion is included.

Structural model:
Cell lengths 4.2447, 4.2447, 4.2447 Å; angles 90.00, 90.00, 90.00 degrees
Space group Pm-3m (No. 221)
Inequivalent atoms, fractional coordinates:
K1 0.0000 0.0000 0.0000 [1 per cell]

Largest 8 diffraction maxima, sorted by position, 5 to 70 degrees two-theta:
2θ/deg  Rel. int.
20.93  100
29.77  79
36.67  28
42.60  13
47.92  36
52.83  26
61.82  8
66.03  15

=====

No. 7
For K, a PBE-relaxed structure gives the computed PXRD pattern in this record (Cu Kα X-rays).
No peak broadening, texture or thermal motion is included.

Structural model:
Cell lengths 8.3298, 8.3298, 8.3298 Å; angles 90.00, 90.00, 90.00 degrees
Space group Pm-3n (No. 223)
Inequivalent atoms, fractional coordinates:
K1 0.0000 0.0000 0.0000 [2 per cell]
K2 0.0000 0.2500 0.5000 [6 per cell]

Largest 10 diffraction maxima, sorted by position, 5 to 70 degrees two-theta:
2θ/deg  Rel. int.
21.33  33
23.89  100
26.21  78
38.99  24
40.52  43
43.46  17
48.90  12
50.19  21
59.79  18
60.92  11

=====

No. 8
For K, a PBE-relaxed structure gives the computed PXRD pattern in this record (Cu Kα X-rays).
No peak broadening, texture or thermal motion is included.

Structural model:
Cell lengths 4.7058, 4.7058, 11.2628 Å; angles 90.00, 90.00, 120.00 degrees
Space group P3_121 (No. 152)
Inequivalent atoms, fractional coordinates:
K1 0.0000 0.6730 0.1667 [3 per cell]

Largest 10 diffraction maxima, sorted by position, 5 to 70 degrees two-theta:
2θ/deg  Rel. int.
23.21  100
23.70  32
27.01  67
38.25  24
38.88  23
45.22  14
45.50  28
46.04  13
47.45  12
60.68  10

=====

No. 9
For K, a PBE-relaxed structure gives the computed PXRD pattern in this record (Cu Kα X-rays).
No peak broadening, texture or thermal motion is included.

Structural model:
Cell lengths 6.0291, 6.0291, 11.2496 Å; angles 90.00, 90.00, 90.00 degrees
Space group P4/mmm (No. 123)
Inequivalent atoms, fractional coordinates:
K1 0.0000 0.0000 0.0000 [1 per cell]
K2 0.0000 0.5000 0.3100 [4 per cell]

Largest 10 diffraction maxima, sorted by position, 5 to 70 degrees two-theta:
2θ/deg  Rel. int.
15.76  21
20.84  53
22.30  61
23.73  45
26.23  100
29.63  58
31.78  28
38.31  47
45.58  33
50.56  34

=====

No. 10
For K, a PBE-relaxed structure gives the computed PXRD pattern in this record (Cu Kα X-rays).
No peak broadening, texture or thermal motion is included.

Structural model:
Cell lengths 4.7499, 7.6809, 16.0969 Å; angles 90.00, 90.00, 90.00 degrees
Space group Fmmm (No. 69)
Inequivalent atoms, fractional coordinates:
K1 0.0000 0.0000 0.1314 [8 per cell]

Largest 10 diffraction maxima, sorted by position, 5 to 70 degrees two-theta:
2θ/deg  Rel. int.
22.09  57
22.69  100
23.16  52
27.64  80
32.22  41
35.66  19
40.41  19
43.56  20
45.38  22
50.56  19

=====

No. 11
For K, a PBE-relaxed structure gives the computed PXRD pattern in this record (Cu Kα X-rays).
No peak broadening, texture or thermal motion is included.

Structural model:
Cell lengths 8.5966, 8.5966, 16.3121 Å; angles 90.00, 90.00, 90.00 degrees
Space group I4_1/acd (No. 142, origin choice 2)
Inequivalent atoms, fractional coordinates:
K1 0.1765 0.0735 0.1250 [16 per cell]

Largest 10 diffraction maxima, sorted by position, 5 to 70 degrees two-theta:
2θ/deg  Rel. int.
20.66  51
21.79  61
23.78  100
28.43  62
30.21  37
34.79  26
36.11  33
43.77  24
46.16  26
46.66  20